Record 1
# PmSm6Er2Th
Theoretical powder X-ray diffraction pattern, a wavelength of 1.5418 Å. Input: a PBE-relaxed structure.
No peak broadening, texture or thermal motion is included.

Cell and atoms:
```
data_PmSm6Er2Th
_chemical_formula_sum 'Pm4 Sm24 Er8 Th4'
_cell_length_a 9.3600
_cell_length_b 14.9609
_cell_length_c 9.6449
_cell_angle_alpha 90.00
_cell_angle_beta 97.15
_cell_angle_gamma 90.00
_symmetry_space_group_name_H-M 'C 1 2/c 1'
_symmetry_Int_Tables_number 15
loop_
_symmetry_equiv_pos_as_xyz
'x,y,z'
'-x,-y,-z'
'-x,y,-z+1/2'
'x,-y,z+1/2'
'x+1/2,y+1/2,z'
'-x+1/2,-y+1/2,-z'
'-x+1/2,y+1/2,-z+1/2'
'x+1/2,-y+1/2,z+1/2'
loop_
_atom_site_label
_atom_site_fract_x
_atom_site_fract_y
_atom_site_fract_z
Pm1 0.0000 0.0937 0.2500
Sm1 0.0647 0.3259 0.4412
Sm2 0.0940 0.1094 0.6178
Sm3 0.2051 0.2797 0.8156
Er1 0.2453 0.4535 0.0519
Th1 0.0000 0.4680 0.7500
```

Largest 8 diffraction maxima, in order of falling intensity, 10 to 90 degrees two-theta:
2θ = 31.40°, rel. 100, (2 4 -1); 2θ = 30.86°, rel. 82, (2 2 2); 2θ = 28.38°, rel. 67, (1 3 2); 2θ = 30.46°, rel. 65, (0 2 3); 2θ = 29.81°, rel. 65, (3 1 -1); 2θ = 32.46°, rel. 39, (1 5 -1); 2θ = 33.74°, rel. 34, (1 3 -3); 2θ = 27.74°, rel. 24, (2 2 -2)

=====

Record 2
# TbHo4Os2
Theoretical powder X-ray diffraction pattern, a wavelength of 1.5418 Å. Input: a PBE-relaxed structure.
No peak broadening, texture or thermal motion is included.

Cell and atoms:
```
data_TbHo4Os2
_chemical_formula_sum 'Tb2 Ho8 Os4'
_cell_length_a 7.7717
_cell_length_b 6.2713
_cell_length_c 7.9099
_cell_angle_alpha 90.00
_cell_angle_beta 112.26
_cell_angle_gamma 90.00
_symmetry_space_group_name_H-M 'P 1 21/m 1'
_symmetry_Int_Tables_number 11
loop_
_symmetry_equiv_pos_as_xyz
'x,y,z'
'-x,-y,-z'
'-x,y+1/2,-z'
'x,-y+1/2,z'
loop_
_atom_site_label
_atom_site_fract_x
_atom_site_fract_y
_atom_site_fract_z
Tb1 0.0262 0.2500 0.1600
Ho1 0.2402 0.5012 0.5810
Ho2 0.3261 0.7500 0.2508
Ho3 0.3801 0.2500 0.0199
Os1 0.0254 0.2500 0.7439
Os2 0.4142 0.2500 0.3758
```

Largest 8 diffraction maxima, in order of falling intensity, 10 to 90 degrees two-theta:
2θ = 31.64°, rel. 100, (2 0 1); 2θ = 30.99°, rel. 90, (2 1 -2); 2θ = 36.72°, rel. 65, (1 2 -2); 2θ = 38.08°, rel. 65, (2 2 0); 2θ = 36.95°, rel. 51, (2 2 -1); 2θ = 34.53°, rel. 49, (1 1 2); 2θ = 34.03°, rel. 48, (1 0 -3); 2θ = 28.47°, rel. 46, (0 2 0)